Diffraction record for Te2W2N2O15. The powder X-ray diffraction pattern is theoretical, not measured: it uses the PBE+U geometry in Alexandria and a wavelength of 1.5418 Å.
No peak broadening, texture or thermal motion is included.

Largest 10 diffraction maxima, sorted by position, 10 to 90 degrees two-theta:
| d/Å | I (rel.) |
| --- | --- |
| 6.031 | 54 |
| 5.985 | 100 |
| 3.154 | 45 |
| 3.132 | 35 |
| 3.123 | 23 |
| 3.016 | 58 |
| 2.993 | 55 |
| 2.608 | 23 |
| 1.837 | 38 |
| 1.566 | 23 |

Atomic structure:
```
data_Te2W2N2O15
_chemical_formula_sum 'Te4 W4 N4 O30'
_symmetry_space_group_name_H-M 'I m m 2'
_symmetry_Int_Tables_number 44
_cell_length_a 7.3357
_cell_length_b 7.4205
_cell_length_c 10.3528
_cell_angle_alpha 90.00
_cell_angle_beta 90.00
_cell_angle_gamma 90.00
loop_
_symmetry_equiv_pos_as_xyz
'x,y,z'
'-x,-y,z'
'-x,y,z'
'x,-y,z'
'x+1/2,y+1/2,z+1/2'
'-x+1/2,-y+1/2,z+1/2'
'-x+1/2,y+1/2,z+1/2'
'x+1/2,-y+1/2,z+1/2'
loop_
_atom_site_label
_atom_site_type_symbol
_atom_site_fract_x
_atom_site_fract_y
_atom_site_fract_z
_atom_site_occupancy
Te1 Te 0.2501 0.0000 0.0000 1
W1 W 0.0000 0.2502 0.2497 1
N1 N 0.0000 0.1901 0.7052 1
O1 O 0.0000 0.0000 0.3041 1
O2 O 0.0000 0.0000 0.9287 1
O3 O 0.0000 0.5000 0.1947 1
O4 O 0.0000 0.5000 0.5704 1
O5 O 0.0000 0.5000 0.9368 1
O6 O 0.1496 0.5000 0.8729 1
O7 O 0.1856 0.1884 0.1222 1
O8 O 0.1867 0.3149 0.3746 1
```